1.
Calculated PXRD pattern
Compound: TaCr3Cu2S8
Radiation: Cu Ka
Structure: DFT lattice parameters and positions (GGA-PBE)

Largest 6 diffraction maxima, sorted by position, 2θ from 10° to 90°:
2theta  d_spacing  intensity  hkl
15.29  5.794  53  0 1 1
19.94  4.453  43  1 1 1
29.70  3.008  51  0 1 3
29.95  2.983  100  2 1 1
36.08  2.489  91  2 2 0
51.95  1.760  99  2 2 4

```
28
Lattice="6.960 0.000 0.000 0.000 7.125 0.000 0.000 0.000 9.955" Properties=species:S:1:pos:R:3 pbc="T T T"
Ta 0.000 1.776 2.489
Ta 0.000 5.349 7.466
Cr 1.683 0.000 0.000
Cr 1.685 3.562 0.000
Cr 3.480 1.779 2.489
Cr 3.480 5.346 7.466
Cr 5.277 0.000 4.977
Cr 5.275 3.562 4.977
Cu 1.869 1.786 6.215
Cu 1.869 5.339 3.740
Cu 5.092 1.786 8.717
Cu 5.092 5.339 1.238
S 0.028 1.782 0.033
S 0.028 5.343 9.922
S 1.772 0.068 2.417
S 1.772 3.488 2.417
S 1.772 3.637 7.538
S 1.772 7.057 7.537
S 3.281 1.781 0.103
S 3.281 5.344 9.852
S 3.680 1.781 4.874
S 3.680 5.344 5.080
S 5.188 0.068 2.560
S 5.188 3.488 2.560
S 5.188 3.637 7.394
S 5.188 7.057 7.395
S 6.933 1.782 4.945
S 6.933 5.343 5.010
```

=====

2.
Calculated PXRD pattern
Compound: TaCr3Cu2S8
Radiation: Cu Ka
Structure: DFT lattice parameters and positions (GGA-PBE)

Largest 6 diffraction maxima, sorted by position, 2θ from 10° to 90°:
2theta  d_spacing  intensity  hkl
10.46  8.454  73  0 1 1
13.42  6.596  50  0 0 2
15.66  5.659  100  0 1 2
30.16  2.964  56  1 1 2
36.22  2.480  57  1 3 1
41.86  2.158  44  1 4 0

```
28
Lattice="3.479 0.000 0.000 0.000 11.013 0.000 0.000 0.000 13.192" Properties=species:S:1:pos:R:3 pbc="T T T"
Ta 0.000 2.125 0.000
Ta 1.739 8.888 6.596
Cr 0.000 2.212 6.648
Cr 0.000 7.260 2.688
Cr 0.000 7.691 9.431
Cr 1.739 3.322 2.835
Cr 1.739 3.753 9.284
Cr 1.739 8.801 0.052
Cu 0.000 5.708 11.413
Cu 0.000 10.856 8.038
Cu 1.739 0.157 1.442
Cu 1.739 5.305 4.817
S 0.000 1.621 2.428
S 0.000 3.412 11.003
S 0.000 4.191 7.797
S 0.000 4.897 3.230
S 0.000 7.222 7.114
S 0.000 8.022 11.861
S 0.000 9.445 1.681
S 0.000 10.495 5.791
S 1.739 0.518 12.387
S 1.739 1.568 8.277
S 1.739 2.991 5.265
S 1.739 3.791 0.518
S 1.739 6.116 9.826
S 1.739 6.822 1.201
S 1.739 7.601 4.407
S 1.739 9.392 9.024
```

=====

3.
Calculated PXRD pattern
Compound: TaCr3Cu2S8
Radiation: Cu Ka
Structure: DFT lattice parameters and positions (GGA-PBE)

Largest 6 diffraction maxima, sorted by position, 2θ from 10° to 90°:
2theta  d_spacing  intensity  hkl
14.44  6.133  100  0 0 2
30.27  2.952  78  1 1 -1
35.75  2.512  64  1 1 -3
45.86  1.979  45  1 1 -5
50.17  1.818  49  1 1 5
53.09  1.725  67  0 2 0

```
14
Lattice="5.971 0.000 0.000 0.000 3.452 0.000 -2.111 0.000 12.267" Properties=species:S:1:pos:R:3 pbc="T T T"
Ta 0.000 0.000 0.000
Cr 0.575 1.726 12.251
Cr 1.748 0.000 6.043
Cr 4.557 1.726 6.270
Cu 1.602 0.000 8.731
Cu 4.700 1.726 3.584
S -0.329 0.000 4.838
S -1.271 1.726 10.745
S 0.666 1.726 7.457
S 1.851 0.000 1.459
S 2.682 1.726 4.757
S 1.630 0.000 10.957
S 3.624 0.000 7.549
S 4.728 1.726 1.352
```